Os5Au: computed X-ray diffraction stick pattern (Cu Ka), based on the PBE geometry in Alexandria.
No peak broadening, texture or thermal motion is included.

Crystal structure
```
data_Os5Au
_cell_length_a 4.4119
_cell_length_b 2.7890
_cell_length_c 14.4502
_cell_angle_alpha 90.00
_cell_angle_beta 90.00
_cell_angle_gamma 90.00
_symmetry_space_group_name_H-M 'A m m 2'
_symmetry_Int_Tables_number 38
_symmetry_space_group_name_Hall 'A 2 -2'
loop_
_atom_site_label
_atom_site_fract_x
_atom_site_fract_y
_atom_site_fract_z
Os1 0.0000 0.0000 0.0000
Os2 0.0000 0.0000 0.3271
Os3 0.0000 0.0000 0.6647
Os4 0.5000 0.0000 0.2144
Os5 0.5000 0.0000 0.5595
Au1 0.5000 0.0000 0.8881
```

Peak list (12 most intense, 2θ = 10–90°, in order of rising 2θ)
| Position (°2θ) | d_spacing | I/Imax | h k l |
| --- | --- | --- | --- |
| 37.28 | 2.412 | 24 | 0 1 3 |
| 40.91 | 2.206 | 25 | 2 0 0 |
| 42.73 | 2.116 | 100 | 1 0 6 |
| 56.54 | 1.628 | 15 | 2 1 3 |
| 67.12 | 1.394 | 6 | 0 2 0 |
| 67.29 | 1.391 | 11 | 0 1 9 |
| 75.76 | 1.256 | 19 | 3 0 6 |
| 81.69 | 1.179 | 7 | 2 2 0 |
| 81.85 | 1.177 | 13 | 2 1 9 |
| 82.95 | 1.164 | 10 | 1 2 6 |
| 83.15 | 1.162 | 4 | 1 0 12 |
| 88.68 | 1.103 | 3 | 4 0 0 |

=====

NpTlAg2Cl8: computed X-ray diffraction stick pattern (Cu Ka), based on the PBE geometry in Alexandria.
No peak broadening, texture or thermal motion is included.

Crystal structure
```
data_NpTlAg2Cl8
_cell_length_a 6.4184
_cell_length_b 7.2031
_cell_length_c 9.3245
_cell_angle_alpha 109.39
_cell_angle_beta 91.83
_cell_angle_gamma 98.23
_symmetry_space_group_name_H-M 'P -1'
_symmetry_Int_Tables_number 2
_symmetry_space_group_name_Hall '-P 1'
loop_
_atom_site_label
_atom_site_fract_x
_atom_site_fract_y
_atom_site_fract_z
Np1 0.0000 0.0000 0.0000
Tl1 0.0000 0.0000 0.5000
Ag1 0.4705 0.3389 0.3141
Cl1 0.1296 0.7807 0.7520
Cl2 0.1660 0.8212 0.1525
Cl3 0.3383 0.2575 0.0407
Cl4 0.4395 0.2726 0.5595
```

Peak list (12 most intense, 2θ = 10–90°, in order of rising 2θ)
| Position (°2θ) | d_spacing | I/Imax | h k l |
| --- | --- | --- | --- |
| 13.21 | 6.703 | 61 | 0 1 0 |
| 13.63 | 6.497 | 43 | 0 1 -1 |
| 17.63 | 5.030 | 100 | 1 -1 0 |
| 20.09 | 4.421 | 27 | 0 1 -2 |
| 20.81 | 4.268 | 62 | 1 1 0 |
| 23.69 | 3.756 | 36 | 1 0 -2 |
| 24.31 | 3.662 | 28 | 1 -1 2 |
| 27.46 | 3.249 | 28 | 0 2 -2 |
| 27.86 | 3.202 | 32 | 0 1 2 |
| 28.20 | 3.165 | 35 | 2 0 0 |
| 32.19 | 2.781 | 33 | 1 2 0 |
| 39.37 | 2.289 | 30 | 1 -3 2 |

=====

PrEr6Tm6: computed X-ray diffraction stick pattern (Cu Ka), based on the PBE geometry in Alexandria.
No peak broadening, texture or thermal motion is included.

Crystal structure
```
data_PrEr6Tm6
_cell_length_a 6.9677
_cell_length_b 11.0673
_cell_length_c 10.8782
_cell_angle_alpha 90.00
_cell_angle_beta 90.00
_cell_angle_gamma 90.00
_symmetry_space_group_name_H-M 'C m m m'
_symmetry_Int_Tables_number 65
_symmetry_space_group_name_Hall '-C 2 2'
loop_
_atom_site_label
_atom_site_fract_x
_atom_site_fract_y
_atom_site_fract_z
Pr1 0.0000 0.0000 0.0000
Er1 0.0000 0.0000 0.3373
Er2 0.0000 0.2629 0.5000
Er3 0.0000 0.3563 0.0000
Tm1 0.0000 0.5000 0.3020
Tm2 0.2500 0.2500 0.2275
```

Peak list (12 most intense, 2θ = 10–90°, in order of rising 2θ)
| Position (°2θ) | d_spacing | I/Imax | h k l |
| --- | --- | --- | --- |
| 29.45 | 3.033 | 71 | 0 2 3 |
| 30.32 | 2.948 | 47 | 2 2 0 |
| 30.47 | 2.934 | 42 | 2 0 2 |
| 32.01 | 2.796 | 29 | 1 3 2 |
| 32.36 | 2.767 | 38 | 0 4 0 |
| 32.94 | 2.720 | 26 | 0 0 4 |
| 34.61 | 2.592 | 100 | 2 2 2 |
| 35.74 | 2.512 | 28 | 2 0 3 |
| 36.42 | 2.467 | 27 | 0 4 2 |
| 36.83 | 2.441 | 21 | 0 2 4 |
| 42.54 | 2.125 | 23 | 2 4 1 |
| 60.28 | 1.535 | 22 | 2 4 5 |

=====

SrTlS14: computed X-ray diffraction stick pattern (Cu Ka), based on the PBE geometry in Alexandria.
No peak broadening, texture or thermal motion is included.

Crystal structure
```
data_SrTlS14
_cell_length_a 17.0274
_cell_length_b 9.0217
_cell_length_c 16.1928
_cell_angle_alpha 90.00
_cell_angle_beta 121.19
_cell_angle_gamma 90.00
_symmetry_space_group_name_H-M 'C 1 2/c 1'
_symmetry_Int_Tables_number 15
_symmetry_space_group_name_Hall '-C 2yc'
loop_
_atom_site_label
_atom_site_fract_x
_atom_site_fract_y
_atom_site_fract_z
Sr1 0.2500 0.2500 0.0000
Tl1 0.0000 0.0167 0.7500
S1 0.0293 0.4045 0.6308
S2 0.0334 0.4465 0.3258
S3 0.0428 0.2110 0.9101
S4 0.1847 0.0387 0.5503
S5 0.2115 0.0447 0.8298
S6 0.2325 0.3829 0.5721
S7 0.2369 0.3166 0.3489
```

Peak list (12 most intense, 2θ = 10–90°, in order of rising 2θ)
| Position (°2θ) | d_spacing | I/Imax | h k l |
| --- | --- | --- | --- |
| 11.55 | 7.664 | 36 | 1 1 0 |
| 12.25 | 7.224 | 100 | 2 0 -2 |
| 14.70 | 6.025 | 34 | 1 1 -2 |
| 19.54 | 4.544 | 28 | 1 1 -3 |
| 21.81 | 4.074 | 19 | 2 0 2 |
| 23.21 | 3.832 | 31 | 2 2 0 |
| 23.54 | 3.780 | 33 | 0 2 2 |
| 24.45 | 3.641 | 55 | 4 0 0 |
| 25.16 | 3.539 | 28 | 1 1 -4 |
| 28.19 | 3.165 | 22 | 5 1 -2 |
| 28.84 | 3.096 | 19 | 4 2 -2 |
| 29.68 | 3.010 | 28 | 2 2 -4 |

=====

TlSnTeAu: computed X-ray diffraction stick pattern (Cu Ka), based on the PBE geometry in Alexandria.
No peak broadening, texture or thermal motion is included.

Crystal structure
```
data_TlSnTeAu
_cell_length_a 4.2861
_cell_length_b 4.2861
_cell_length_c 45.4958
_cell_angle_alpha 90.00
_cell_angle_beta 90.00
_cell_angle_gamma 120.00
_symmetry_space_group_name_H-M 'R -3 m'
_symmetry_Int_Tables_number 166
_symmetry_space_group_name_Hall '-R 3 2"'
loop_
_atom_site_label
_atom_site_fract_x
_atom_site_fract_y
_atom_site_fract_z
Tl1 0.0000 0.0000 0.1952
Sn1 0.0000 0.0000 0.3834
Te1 0.0000 0.0000 0.0934
Au1 0.0000 0.0000 0.3156
```

Peak list (12 most intense, 2θ = 10–90°, in order of rising 2θ)
| Position (°2θ) | d_spacing | I/Imax | h k l |
| --- | --- | --- | --- |
| 24.30 | 3.663 | 42 | 0 1 2 |
| 25.24 | 3.529 | 25 | 1 0 4 |
| 27.68 | 3.223 | 25 | 1 0 7 |
| 28.72 | 3.108 | 40 | 0 1 8 |
| 31.10 | 2.876 | 100 | 1 0 10 |
| 36.76 | 2.445 | 29 | 0 1 14 |
| 39.94 | 2.257 | 19 | 1 0 16 |
| 41.61 | 2.170 | 44 | 0 1 17 |
| 42.17 | 2.143 | 81 | 1 1 0 |
| 53.31 | 1.718 | 22 | 0 2 10 |
| 60.76 | 1.524 | 22 | 2 0 17 |
| 70.20 | 1.341 | 20 | 2 1 10 |

=====

PrSe2: computed X-ray diffraction stick pattern (Cu Ka), based on the PBE geometry in Alexandria.
No peak broadening, texture or thermal motion is included.

Crystal structure
```
data_PrSe2
_cell_length_a 8.6231
_cell_length_b 4.2215
_cell_length_c 8.4701
_cell_angle_alpha 90.00
_cell_angle_beta 90.14
_cell_angle_gamma 90.00
_symmetry_space_group_name_H-M 'P 1 21/c 1'
_symmetry_Int_Tables_number 14
_symmetry_space_group_name_Hall '-P 2ybc'
loop_
_atom_site_label
_atom_site_fract_x
_atom_site_fract_y
_atom_site_fract_z
Pr1 0.2252 0.2240 0.3737
Se1 0.1319 0.7442 0.1252
Se2 0.4983 0.6857 0.3813
```

Peak list (12 most intense, 2θ = 10–90°, in order of rising 2θ)
| Position (°2θ) | d_spacing | I/Imax | h k l |
| --- | --- | --- | --- |
| 23.43 | 3.797 | 45 | 1 0 -2 |
| 29.88 | 2.990 | 41 | 0 1 2 |
| 31.12 | 2.874 | 37 | 3 0 0 |
| 31.68 | 2.825 | 72 | 1 1 2 |
| 36.57 | 2.457 | 100 | 2 1 -2 |
| 37.85 | 2.377 | 61 | 3 0 2 |
| 42.70 | 2.118 | 32 | 0 0 4 |
| 42.84 | 2.111 | 25 | 0 2 0 |
| 53.87 | 1.702 | 19 | 3 0 4 |
| 57.72 | 1.597 | 12 | 5 0 -2 |
| 58.46 | 1.579 | 23 | 3 2 2 |
| 62.09 | 1.495 | 20 | 0 2 4 |